No. 1
The following is a theoretical XRD peak list of AcZnPt2. It was derived from a crystal structure in Alexandria, relaxed with GGA-PBE, using Cu Kα (weighted mean of Kα1 and Kα2).
Kinematic intensities with the Lorentz-polarization factor, no thermal factor.

The 6 most intense peaks (2θ = 10–90°), sorted by position:
Position (°2θ)	d (Å)	I_rel
23.86	3.730	52
32.70	2.739	95
37.09	2.424	75
40.68	2.218	100
53.14	1.724	24
64.39	1.447	29

Atomic structure:
Cell: 5.803 5.803 5.803 Å, 44.93 44.93 44.93°
Element x y z (fractional)
Ac 0.000 0.000 0.000
Zn 0.500 0.500 0.500
Pt 0.209 0.209 0.209
Pt 0.791 0.791 0.791

---

No. 2
The following is a theoretical XRD peak list of Ac2Zn2Pt3. It was derived from a crystal structure in Alexandria, relaxed with GGA-PBE, using Cu Kα (weighted mean of Kα1 and Kα2).
Kinematic intensities with the Lorentz-polarization factor, no thermal factor.

The 6 most intense peaks (2θ = 10–90°), sorted by position:
Position (°2θ)	d (Å)	I_rel
31.74	2.819	100
33.30	2.690	94
39.95	2.257	31
42.31	2.136	35
45.64	1.988	23
69.64	1.350	21

Atomic structure:
Cell: 9.942 9.942 7.648 Å, 90.00 90.00 155.18°
Element x y z (fractional)
Ac 0.061 0.939 0.750
Ac 0.154 0.846 0.250
Ac 0.846 0.154 0.750
Ac 0.939 0.061 0.250
Zn 0.306 0.694 0.060
Zn 0.306 0.694 0.440
Zn 0.694 0.306 0.560
Zn 0.694 0.306 0.940
Pt 0.224 0.776 0.750
Pt 0.434 0.566 0.556
Pt 0.434 0.566 0.944
Pt 0.566 0.434 0.056
Pt 0.566 0.434 0.444
Pt 0.776 0.224 0.250

---

No. 3
The following is a theoretical XRD peak list of Ac8ZnPt4. It was derived from a crystal structure in Alexandria, relaxed with GGA-PBE, using Cu Kα (weighted mean of Kα1 and Kα2).
Kinematic intensities with the Lorentz-polarization factor, no thermal factor.

The 6 most intense peaks (2θ = 10–90°), sorted by position:
Position (°2θ)	d (Å)	I_rel
27.22	3.276	100
27.85	3.203	65
32.02	2.795	68
33.67	2.662	51
38.67	2.329	55
40.82	2.210	59

Atomic structure:
Cell: 9.993 9.993 13.984 Å, 130.09 130.09 25.56°
Element x y z (fractional)
Ac 0.000 0.000 0.000
Ac 0.007 0.007 0.567
Ac 0.080 0.080 0.355
Ac 0.283 0.283 0.860
Ac 0.356 0.356 0.648
Ac 0.363 0.363 0.215
Ac 0.643 0.643 0.918
Ac 0.720 0.720 0.296
Zn 0.680 0.680 0.607
Pt 0.002 0.002 0.781
Pt 0.361 0.361 0.434
Pt 0.504 0.504 0.155
Pt 0.860 0.860 0.061